Calculated powder XRD pattern of Tl2InSeCl3 for Cu Kα, 1.54184 Å, from the GGA-PBE geometry in Alexandria.

Crystal structure
```
14
Lattice="5.283 0.000 0.000 0.000 5.400 0.000 0.000 0.000 15.762" Properties=species:S:1:pos:R:3 pbc="T T T"
Tl 0.000 0.000 2.071
Tl 0.000 0.000 13.690
Tl 2.641 2.700 5.809
Tl 2.641 2.700 9.952
In 0.000 0.000 7.881
In 2.641 2.700 0.000
Se 0.000 2.700 7.881
Se 2.641 0.000 0.000
Cl 0.000 0.000 5.341
Cl 0.000 0.000 10.421
Cl 0.000 2.700 0.000
Cl 2.641 0.000 7.881
Cl 2.641 2.700 2.540
Cl 2.641 2.700 13.222
```

Principal peaks in the range 10 to 80 degrees two-theta, sorted by position:
| Position (°2θ) | Rel. int. | index |
| --- | --- | --- |
| 11.2 | 25 | 0 0 2 |
| 23.6 | 100 | 1 1 0 |
| 23.9 | 48 | 1 0 3 |
| 32.9 | 65 | 1 1 4 |
| 33.1 | 54 | 0 2 0 |
| 33.9 | 31 | 2 0 0 |
| 41.3 | 24 | 1 2 3 |
| 48.2 | 22 | 2 2 0 |

=====

Calculated powder XRD pattern of InSiCl for Cu Kα, 1.54184 Å, from the GGA-PBE geometry in Alexandria.

Crystal structure
```
6
Lattice="3.766 0.000 0.000 1.872 6.051 0.000 0.007 3.311 7.507" Properties=species:S:1:pos:R:3 pbc="T T T"
In 0.000 0.000 0.000
In 1.890 2.992 4.780
Si 1.871 5.604 6.325
Si 3.755 6.876 7.048
Cl 1.865 6.146 4.200
Cl 3.746 3.076 1.658
```

Principal peaks in the range 10 to 80 degrees two-theta, sorted by position:
| Position (°2θ) | Rel. int. | index |
| --- | --- | --- |
| 11.8 | 90 | 0 0 1 |
| 15.6 | 38 | 0 1 1 |
| 16.0 | 43 | 0 1 0 |
| 26.2 | 63 | 1 1 1 |
| 29.1 | 100 | 1 1 -1 |
| 29.5 | 75 | 0 2 1 |
| 32.3 | 60 | 1 1 2 |
| 35.5 | 81 | -1 1 2 |